This entry pairs a crystal structure of Y7Tm3Sc with its calculated PXRD pattern. Radiation: λ = 1.5418 Å (Cu Kα). Structure: a cell relaxed with GGA-PBE.
Neutral-atom scattering factors, no anomalous dispersion.

The 10 most intense peaks (2θ from 15° to 90°), by angle:
h k l	2θ (°)	d [Å]	I_rel
1 1 2	23.68	3.758	21
2 0 0	31.46	2.843	59
0 0 4	31.85	2.810	27
0 4 0	32.49	2.756	23
1 2 3	32.92	2.721	100
1 3 2	33.12	2.705	95
2 0 4	45.38	1.999	20
3 2 3	56.94	1.617	31
3 3 2	57.08	1.614	20
1 2 7	62.42	1.488	22

Cell: 5.687 11.023 11.239 Å, 90.00 90.00 90.00°
Space group Immm (No. 71)
One atom of each set of equivalent atoms:
Y  0.000  0.000  0.000 x2
Y  0.000  0.213  0.500 x4
Y  0.000  0.309  0.208 x8
Tm  0.000  0.000  0.295 x4
Tm  0.000  0.500  0.000 x2
Sc  0.000  0.500  0.500 x2